1.
Theoretical powder XRD pattern
Compound: Pm5N4F
Radiation: a wavelength of 1.5418 Å
Structure: a structure optimized by DFT (PBE)

Structural model:
a b c (Å): 3.6252 3.6252 25.4563
angles (deg): 90.00 90.00 90.00
Space group I4/mmm (No. 139)
One atom of each set of equivalent atoms:
Pm 0.0000 0.0000 0.0000
Pm 0.0000 0.0000 0.2019
Pm 0.0000 0.0000 0.3941
N 0.0000 0.0000 0.0963
N 0.0000 0.0000 0.3012
F 0.0000 0.0000 0.5000

Principal peaks in the range 2θ from 10° to 80°, by angle:
| two_theta | d [Å] | I_rel | h k l |
| --- | --- | --- | --- |
| 30.27 | 2.953 | 100.0 | 1 0 5 |
| 35.00 | 2.564 | 53.9 | 1 1 0 |
| 35.26 | 2.546 | 24.2 | 0 0 10 |
| 50.34 | 1.813 | 18.2 | 2 0 0 |
| 50.53 | 1.806 | 34.0 | 1 1 10 |
| 53.16 | 1.723 | 1.1 | 1 0 13 |
| 59.87 | 1.545 | 30.6 | 2 1 5 |
| 60.21 | 1.537 | 13.2 | 1 0 15 |
| 62.95 | 1.477 | 17.2 | 2 0 10 |
| 67.70 | 1.384 | 1.2 | 1 0 17 |
| 73.95 | 1.282 | 5.6 | 2 2 0 |
| 74.56 | 1.273 | 2.2 | 0 0 20 |

2.
Theoretical powder XRD pattern
Compound: Pr3NF6
Radiation: a wavelength of 1.5418 Å
Structure: a structure optimized by DFT (PBE)

Structural model:
a b c (Å): 4.0050 5.9599 7.1342
angles (deg): 66.06 73.74 90.00
Space group P1 (No. 1)
One atom of each set of equivalent atoms:
Pr 0.0000 0.0000 0.0000
Pr 0.3102 0.2941 0.3783
Pr 0.6347 0.6788 0.7294
N 0.1518 0.9282 0.6951
F 0.1447 0.4060 0.7098
F 0.4603 0.7588 0.0796
F 0.4870 0.2227 0.0260
F 0.7740 0.5048 0.4509
F 0.8140 0.0112 0.3697
F 0.9504 0.4635 0.1005

Principal peaks in the range 2θ from 10° to 80°, by angle:
| two_theta | d [Å] | I_rel | h k l |
| --- | --- | --- | --- |
| 26.05 | 3.421 | 54.9 | 0 1 -1 |
| 26.39 | 3.377 | 48.2 | 0 1 2 |
| 26.82 | 3.324 | 100.0 | 1 1 1 |
| 29.99 | 2.980 | 24.3 | 0 2 1 |
| 31.08 | 2.878 | 44.7 | 1 0 2 |
| 43.51 | 2.080 | 45.5 | 1 2 0 |
| 43.75 | 2.069 | 18.3 | 0 0 3 |
| 43.95 | 2.060 | 38.5 | 1 2 3 |
| 45.28 | 2.003 | 23.1 | 2 0 1 |
| 51.33 | 1.780 | 20.2 | 1 3 2 |
| 51.87 | 1.763 | 15.3 | 1 -1 3 |
| 52.99 | 1.728 | 15.7 | 2 -1 2 |

3.
Theoretical powder XRD pattern
Compound: Pu6N5F
Radiation: a wavelength of 1.5418 Å
Structure: a structure optimized by DFT (PBE)

Structural model:
a b c (Å): 6.1070 10.5775 6.0963
angles (deg): 90.00 109.63 90.00
Space group C2/m (No. 12)
One atom of each set of equivalent atoms:
Pu 0.2404 0.0000 0.2611
Pu 0.2422 0.1729 0.7461
N 0.0000 0.0000 0.5000
N 0.0000 0.1652 0.0000
N 0.0000 0.3295 0.5000
F 0.0000 0.5000 0.0000

Principal peaks in the range 2θ from 10° to 80°, by angle:
| two_theta | d [Å] | I_rel | h k l |
| --- | --- | --- | --- |
| 31.09 | 2.876 | 100.0 | 0 0 2 |
| 36.06 | 2.491 | 65.7 | 1 3 1 |
| 46.66 | 1.947 | 0.5 | 1 5 -1 |
| 48.20 | 1.888 | 0.5 | 3 1 -2 |
| 51.89 | 1.762 | 38.4 | 1 3 -3 |
| 52.02 | 1.758 | 7.8 | 2 0 2 |
| 61.72 | 1.503 | 29.8 | 0 6 2 |
| 61.84 | 1.500 | 15.1 | 1 3 3 |
| 64.79 | 1.439 | 11.6 | 4 0 0 |
| 64.97 | 1.435 | 3.9 | 0 0 4 |
| 76.39 | 1.247 | 2.3 | 4 0 -4 |
| 76.53 | 1.245 | 4.9 | 2 6 2 |